Rb2MnIrF6: computed X-ray powder pattern (Cu Kα X-rays), based on a structure optimized by DFT (PBE+U).

Largest 10 diffraction maxima, sorted by position, 2θ = 5–70°:
17.6 deg, d = 5.040 Å, I = 33
28.4 deg, d = 3.138 Å, I = 100
29.9 deg, d = 2.991 Å, I = 43
32.4 deg, d = 2.766 Å, I = 12
38.5 deg, d = 2.340 Å, I = 21
42.8 deg, d = 2.115 Å, I = 32
49.5 deg, d = 1.843 Å, I = 20
52.2 deg, d = 1.754 Å, I = 37
58.9 deg, d = 1.569 Å, I = 23
63.6 deg, d = 1.464 Å, I = 15

Atomic structure:
```
Rb2MnIrF6
1.0
-2.991 2.991 4.680
2.991 -2.991 4.680
2.991 2.991 -4.680
Rb Mn Ir F
2 1 1 6
Direct
0.250 0.750 0.500
0.750 0.250 0.500
0.000 0.000 0.000
0.500 0.500 0.000
0.219 0.219 0.000
0.255 0.255 0.510
0.255 0.745 0.000
0.745 0.255 0.000
0.745 0.745 0.490
0.781 0.781 0.000
```